Entry 1:
Starting from a GGA-PBE-relaxed structure, the X-ray diffraction stick pattern of KMgNbO3 was computed for Cu Kα.
No peak broadening, texture or thermal motion is included.

Largest 12 diffraction maxima, in order of rising 2θ, 2θ = 15–90°:
- 20.5°, intensity 100.0
- 25.8°, intensity 18.4
- 29.2°, intensity 63.8
- 32.2°, intensity 33.6
- 33.2°, intensity 27.2
- 41.7°, intensity 31.2
- 41.8°, intensity 32.8
- 42.5°, intensity 30.9
- 46.9°, intensity 52.4
- 53.7°, intensity 15.0
- 60.5°, intensity 18.3
- 61.1°, intensity 19.2

Cell and atoms:
a b c (Å): 4.3195 4.4356 4.4356
angles (deg): 77.74 90.00 90.00
Fractional positions:
K1 0.0000 0.0000 0.0000
Mg1 0.5000 0.2303 0.2303
Nb1 0.5000 0.6604 0.6604
O1 0.0000 0.6482 0.6482
O2 0.5000 0.1620 0.6769
O3 0.5000 0.6769 0.1620


Entry 2:
Starting from a GGA-PBE-relaxed structure, the X-ray diffraction stick pattern of K4MgNb4Si8O28 was computed for Cu Kα.
No peak broadening, texture or thermal motion is included.

Largest 12 diffraction maxima, in order of rising 2θ, 2θ = 15–90°:
- 19.8°, intensity 93.3
- 22.1°, intensity 100.0
- 24.8°, intensity 26.8
- 26.2°, intensity 45.9
- 28.2°, intensity 30.6
- 29.8°, intensity 82.5
- 31.4°, intensity 92.2
- 31.5°, intensity 57.1
- 45.0°, intensity 56.3
- 45.2°, intensity 22.0
- 50.9°, intensity 19.2
- 56.0°, intensity 24.4

Cell and atoms:
a b c (Å): 8.9895 8.9895 8.0467
angles (deg): 90.02 90.02 89.59
Fractional positions:
K1 0.0000 0.0000 0.0000
K2 0.2034 0.5887 0.0013
K3 0.5887 0.2034 0.0013
K4 0.6883 0.6883 0.0021
Mg1 0.2102 0.2102 0.0038
Nb1 0.3727 0.8745 0.2522
Nb2 0.3729 0.8752 0.7552
Nb3 0.8745 0.3727 0.2522
Nb4 0.8752 0.3729 0.7552
Si1 0.2557 0.2557 0.3055
Si2 0.2565 0.2565 0.7015
Si3 0.4985 0.4985 0.3046
Si4 0.4993 0.4993 0.6992
Si5 0.7469 0.9931 0.3018
Si6 0.7471 0.9933 0.6992
Si7 0.9931 0.7469 0.3018
Si8 0.9933 0.7471 0.6992
O1 0.1017 0.2978 0.2071
O2 0.1029 0.2989 0.8002
O3 0.1515 0.8087 0.2346
O4 0.1514 0.8098 0.7669
O5 0.2485 0.2485 0.5035
O6 0.2978 0.1017 0.2071
O7 0.2989 0.1029 0.8002
O8 0.3686 0.8674 0.0011
O9 0.3691 0.8855 0.5003
O10 0.3761 0.3761 0.2280
O11 0.3774 0.3774 0.7770
O12 0.4493 0.6610 0.2394
O13 0.4504 0.6621 0.7638
O14 0.4799 0.4799 0.5020
O15 0.5825 0.9576 0.2299
O16 0.5825 0.9591 0.7711
O17 0.6610 0.4493 0.2394
O18 0.6621 0.4504 0.7638
O19 0.7514 0.9839 0.5006
O20 0.8087 0.1515 0.2346
O21 0.8098 0.1514 0.7669
O22 0.8592 0.8592 0.7721
O23 0.8597 0.8597 0.2286
O24 0.8675 0.3686 0.0011
O25 0.8855 0.3691 0.5003
O26 0.9576 0.5825 0.2299
O27 0.9591 0.5825 0.7711
O28 0.9839 0.7514 0.5006


Entry 3:
Starting from a GGA-PBE-relaxed structure, the X-ray diffraction stick pattern of K2Nd2MgS4O16 was computed for Cu Kα.
No peak broadening, texture or thermal motion is included.

Largest 12 diffraction maxima, in order of rising 2θ, 2θ = 15–90°:
- 16.9°, intensity 55.9
- 17.8°, intensity 44.7
- 19.4°, intensity 51.7
- 23.4°, intensity 53.4
- 24.6°, intensity 67.9
- 25.3°, intensity 100.0
- 25.9°, intensity 44.0
- 27.6°, intensity 53.4
- 28.6°, intensity 74.0
- 32.7°, intensity 53.0
- 32.9°, intensity 45.6
- 39.5°, intensity 40.6

Cell and atoms:
a b c (Å): 5.5177 7.1739 9.8040
angles (deg): 79.18 83.74 86.50
Fractional positions:
K1 0.0000 0.0000 0.0000
K2 0.4890 0.6629 0.2776
Nd1 0.0063 0.1394 0.4466
Nd2 0.5010 0.5105 0.8937
Mg1 0.5496 0.3895 0.5624
S1 0.0040 0.5004 0.0825
S2 0.0699 0.5953 0.6096
S3 0.4933 0.1391 0.2259
S4 0.4947 0.0304 0.7324
O1 0.0477 0.7681 0.5037
O2 0.0817 0.3738 0.9789
O3 0.1531 0.4305 0.5378
O4 0.2148 0.6278 0.0739
O5 0.2740 0.6100 0.6971
O6 0.2909 0.0113 0.2234
O7 0.2914 0.0460 0.6437
O8 0.3992 0.2744 0.3193
O9 0.4562 0.8792 0.8580
O10 0.5016 0.2213 0.7798
O11 0.5668 0.2423 0.0811
O12 0.7110 0.0264 0.2803
O13 0.7330 0.9945 0.6545
O14 0.7881 0.6243 0.0341
O15 0.8395 0.5538 0.7025
O16 0.9432 0.4002 0.2249


Entry 4:
Starting from a GGA-PBE-relaxed structure, the X-ray diffraction stick pattern of K2Nd2MgS4O16 was computed for Cu Kα.
No peak broadening, texture or thermal motion is included.

Largest 12 diffraction maxima, in order of rising 2θ, 2θ = 15–90°:
- 18.4°, intensity 53.2
- 19.0°, intensity 72.4
- 21.3°, intensity 100.0
- 22.5°, intensity 45.8
- 23.1°, intensity 60.0
- 23.9°, intensity 42.4
- 24.4°, intensity 64.0
- 25.7°, intensity 44.7
- 28.6°, intensity 52.1
- 30.0°, intensity 50.5
- 32.8°, intensity 85.2
- 46.2°, intensity 64.3

Cell and atoms:
a b c (Å): 5.4683 8.4699 9.8502
angles (deg): 104.63 91.82 90.06
Fractional positions:
K1 0.0000 0.0000 0.0000
K2 0.4851 0.8390 0.5842
Nd1 0.0079 0.2591 0.6522
Nd2 0.4687 0.4515 0.2140
Mg1 0.4913 0.6605 0.8898
S1 0.4864 0.2115 0.8337
S2 0.4916 0.1049 0.3845
S3 0.9878 0.6069 0.4827
S4 0.9919 0.4928 0.0374
O1 0.0166 0.4979 0.5798
O2 0.0335 0.3568 0.1072
O3 0.2035 0.5806 0.3898
O4 0.2157 0.6014 0.0720
O5 0.2629 0.1058 0.7895
O6 0.2829 0.1351 0.4832
O7 0.4483 0.3612 0.7803
O8 0.4524 0.2068 0.2811
O9 0.5054 0.9327 0.3143
O10 0.5201 0.2520 0.9885
O11 0.7058 0.1215 0.7690
O12 0.7209 0.1645 0.4693
O13 0.7573 0.5585 0.3963
O14 0.7668 0.5839 0.0921
O15 0.9606 0.4346 0.8835
O16 0.9790 0.7778 0.5610


Entry 5:
Starting from a GGA-PBE-relaxed structure, the X-ray diffraction stick pattern of K2Nd2MgS4O16 was computed for Cu Kα.
No peak broadening, texture or thermal motion is included.

Largest 12 diffraction maxima, in order of rising 2θ, 2θ = 15–90°:
- 17.2°, intensity 40.9
- 18.5°, intensity 43.6
- 18.7°, intensity 26.4
- 23.2°, intensity 33.1
- 24.6°, intensity 53.7
- 25.6°, intensity 88.3
- 29.7°, intensity 67.9
- 30.2°, intensity 56.2
- 30.3°, intensity 64.8
- 31.3°, intensity 100.0
- 31.5°, intensity 33.6
- 40.4°, intensity 42.3

Cell and atoms:
a b c (Å): 5.9010 6.9713 10.1810
angles (deg): 109.20 92.72 90.86
Fractional positions:
K1 0.0000 0.0000 0.0000
K2 0.4363 0.3556 0.5607
Nd1 0.4827 0.5241 0.0107
Nd2 0.9474 0.8132 0.5698
Mg1 0.9370 0.1346 0.3400
S1 0.4695 0.9326 0.8352
S2 0.4851 0.8232 0.4045
S3 0.9448 0.5288 0.1725
S4 0.9565 0.4033 0.7436
O1 0.1514 0.4256 0.1092
O2 0.1533 0.4986 0.8400
O3 0.2732 0.8354 0.7373
O4 0.2835 0.9240 0.4758
O5 0.4296 0.1520 0.8998
O6 0.4453 0.7560 0.2525
O7 0.4880 0.8385 0.9480
O8 0.5574 0.6568 0.4576
O9 0.6806 0.9813 0.4487
O10 0.6858 0.9014 0.7620
O11 0.7390 0.4317 0.8149
O12 0.7509 0.3737 0.1319
O13 0.8774 0.6903 0.1124
O14 0.9357 0.4994 0.6310
O15 0.9828 0.6125 0.3255
O16 0.9959 0.1836 0.6770


Entry 6:
Starting from a GGA-PBE-relaxed structure, the X-ray diffraction stick pattern of K2Nd2MgS4O16 was computed for Cu Kα.
No peak broadening, texture or thermal motion is included.

Largest 12 diffraction maxima, in order of rising 2θ, 2θ = 15–90°:
- 15.9°, intensity 100.0
- 19.9°, intensity 54.2
- 20.0°, intensity 71.1
- 24.6°, intensity 20.0
- 25.3°, intensity 57.5
- 25.8°, intensity 42.5
- 26.3°, intensity 35.1
- 28.2°, intensity 25.0
- 28.3°, intensity 23.1
- 30.1°, intensity 37.7
- 30.5°, intensity 27.8
- 30.9°, intensity 40.7

Cell and atoms:
a b c (Å): 5.7942 7.0963 10.8362
angles (deg): 83.77 74.72 88.93
Fractional positions:
K1 0.0000 0.0000 0.0000
K2 0.3775 0.6435 0.3114
Nd1 0.1821 0.5499 0.7481
Nd2 0.8321 0.1255 0.3838
Mg1 0.5442 0.3340 0.8952
S1 0.2005 0.0647 0.6256
S2 0.3716 0.1213 0.2099
S3 0.7829 0.6094 0.5052
S4 0.8919 0.5093 0.0442
O1 0.0337 0.0450 0.5439
O2 0.1186 0.6215 0.9821
O3 0.1394 0.2380 0.6921
O4 0.1663 0.8977 0.7261
O5 0.1700 0.9802 0.2316
O6 0.2745 0.2781 0.2879
O7 0.4506 0.0750 0.5447
O8 0.4540 0.1806 0.0702
O9 0.5549 0.6304 0.6041
O10 0.5748 0.0276 0.2528
O11 0.6901 0.6379 0.0803
O12 0.7636 0.4372 0.4400
O13 0.8145 0.7757 0.4063
O14 0.8635 0.4013 0.9314
O15 0.9121 0.3681 0.1504
O16 0.9904 0.5923 0.5613


Entry 7:
Starting from a GGA-PBE-relaxed structure, the X-ray diffraction stick pattern of K2Nd2MgS4O16 was computed for Cu Kα.
No peak broadening, texture or thermal motion is included.

Largest 12 diffraction maxima, in order of rising 2θ, 2θ = 15–90°:
- 16.8°, intensity 43.5
- 18.3°, intensity 61.1
- 18.6°, intensity 35.5
- 24.5°, intensity 80.1
- 25.4°, intensity 100.0
- 26.3°, intensity 50.4
- 28.3°, intensity 56.6
- 29.6°, intensity 39.5
- 31.7°, intensity 28.4
- 32.3°, intensity 94.0
- 33.8°, intensity 50.6
- 36.9°, intensity 28.6

Cell and atoms:
a b c (Å): 5.5476 7.1356 9.8806
angles (deg): 99.87 90.27 93.68
Fractional positions:
K1 0.0000 0.0000 0.0000
K2 0.4619 0.6221 0.7202
Nd1 0.5243 0.4980 0.1011
Nd2 0.9063 0.0906 0.5498
Mg1 0.4391 0.8102 0.4416
S1 0.0248 0.5645 0.3855
S2 0.4729 0.1407 0.7551
S3 0.5077 0.0448 0.2423
S4 0.9820 0.5042 0.9163
O1 0.0027 0.4146 0.7725
O2 0.0142 0.4130 0.4686
O3 0.0583 0.7558 0.4803
O4 0.2100 0.6219 0.9659
O5 0.2415 0.0213 0.7218
O6 0.2546 0.5602 0.3018
O7 0.3011 0.0201 0.3357
O8 0.4407 0.2771 0.8838
O9 0.4464 0.1807 0.1503
O10 0.5350 0.2459 0.6391
O11 0.5461 0.8562 0.1557
O12 0.6793 0.0204 0.7706
O13 0.7337 0.1170 0.3200
O14 0.7788 0.6372 0.9334
O15 0.8123 0.5576 0.2940
O16 0.9253 0.3670 0.0127


Entry 8:
Starting from a GGA-PBE-relaxed structure, the X-ray diffraction stick pattern of KMg14Ni was computed for Cu Kα.
No peak broadening, texture or thermal motion is included.

Largest 12 diffraction maxima, in order of rising 2θ, 2θ = 15–90°:
- 16.0°, intensity 8.9
- 18.1°, intensity 3.6
- 23.3°, intensity 5.9
- 32.4°, intensity 25.7
- 34.1°, intensity 23.9
- 36.7°, intensity 100.0
- 41.6°, intensity 3.4
- 47.7°, intensity 15.1
- 57.8°, intensity 17.2
- 62.7°, intensity 15.3
- 68.8°, intensity 16.3
- 70.5°, intensity 13.0

Cell and atoms:
a b c (Å): 6.3795 6.3795 10.5258
angles (deg): 90.00 90.00 120.00
Fractional positions:
K1 0.0000 0.0000 0.0000
Mg1 0.0066 0.5033 0.0000
Mg2 0.1631 0.3261 0.2790
Mg3 0.1631 0.3261 0.7210
Mg4 0.1631 0.8369 0.2790
Mg5 0.1631 0.8369 0.7210
Mg6 0.4967 0.5033 0.0000
Mg7 0.4967 0.9934 0.0000
Mg8 0.5055 0.0110 0.5000
Mg9 0.5055 0.4945 0.5000
Mg10 0.6667 0.3333 0.2406
Mg11 0.6667 0.3333 0.7594
Mg12 0.6739 0.8369 0.2790
Mg13 0.6739 0.8369 0.7210
Mg14 0.9890 0.4945 0.5000
Ni1 0.0000 0.0000 0.5000


Q: Number 8 is which compound?
A: KMg14Ni